Starting from a crystal structure in Alexandria, relaxed with GGA-PBE, the powder X-ray diffraction pattern of H6PbCBr3N3 was calculated for Cu Ka.

Structure:
Cell: 9.1660 7.8398 18.1954 Å, 90.00 120.19 90.00°
Sites, in units of the cell vectors:
H 0.0481 0.2371 0.2054
H 0.0481 0.2629 0.7054
H 0.0504 0.2476 0.0751
H 0.0504 0.2524 0.5751
H 0.1381 0.7424 0.0207
H 0.1381 0.7576 0.5207
H 0.1421 0.7373 0.2957
H 0.1421 0.7627 0.7957
H 0.3995 0.7421 0.0223
H 0.3995 0.7579 0.5223
H 0.4014 0.7475 0.4277
H 0.4014 0.7525 0.9277
H 0.5986 0.2475 0.0723
H 0.5986 0.2525 0.5723
H 0.6005 0.2421 0.4777
H 0.6005 0.2579 0.9777
H 0.8579 0.2373 0.2043
H 0.8579 0.2627 0.7043
H 0.8619 0.2424 0.4793
H 0.8619 0.2576 0.9793
H 0.9496 0.7476 0.4249
H 0.9496 0.7524 0.9249
H 0.9519 0.7371 0.2946
H 0.9519 0.7629 0.7946
Pb 0.5002 0.0160 0.7502
Pb 0.5002 0.4840 0.2502
Pb 0.4998 0.5160 0.7498
Pb 0.4998 0.9840 0.2498
C 0.1637 0.7478 0.4142
C 0.1637 0.7522 0.9142
C 0.8363 0.2478 0.0858
C 0.8363 0.2522 0.5858
Br 0.2022 0.7332 0.1737
Br 0.2022 0.7668 0.6738
Br 0.3520 0.2328 0.3249
Br 0.3520 0.2348 0.1002
Br 0.3520 0.2652 0.6002
Br 0.3520 0.2672 0.8249
Br 0.6480 0.7328 0.1751
Br 0.6480 0.7348 0.3998
Br 0.6480 0.7652 0.8998
Br 0.6480 0.7672 0.6751
Br 0.7978 0.2332 0.3262
Br 0.7978 0.2668 0.8262
N 0.0781 0.7475 0.9559
N 0.0781 0.7525 0.4559
N 0.0805 0.7384 0.3293
N 0.0805 0.7616 0.8293
N 0.3326 0.7473 0.9575
N 0.3326 0.7527 0.4575
N 0.6674 0.2473 0.5425
N 0.6674 0.2527 0.0425
N 0.9195 0.2384 0.1707
N 0.9195 0.2616 0.6707
N 0.9219 0.2475 0.5441
N 0.9219 0.2525 0.0441

Top 10 peaks for 2θ from 5° to 70°, by intensity:
2θ = 11.20°, d = 7.901 Å, intensity 100; 2θ = 25.35°, d = 3.513 Å, intensity 21; 2θ = 32.13°, d = 2.786 Å, intensity 21; 2θ = 25.20°, d = 3.534 Å, intensity 18; 2θ = 30.08°, d = 2.970 Å, intensity 16; 2θ = 37.93°, d = 2.372 Å, intensity 13; 2θ = 41.22°, d = 2.190 Å, intensity 12; 2θ = 29.99°, d = 2.980 Å, intensity 12; 2θ = 32.24°, d = 2.777 Å, intensity 10; 2θ = 39.61°, d = 2.275 Å, intensity 9